[1]
Simulated X-ray diffraction stick pattern of Sm3TeAu for Cu Kα, 1.54184 Å, from a structure optimized by DFT (GGA-PBE).

Most intense lines, 2θ = 10–90°, by angle:
- (1 1 2), 27.4°, rel. 67.4
- (2 1 2), 30.3°, rel. 100.0
- (0 1 3), 31.1°, rel. 79.0
- (1 1 3), 32.0°, rel. 70.0
- (3 1 2), 34.6°, rel. 76.1
- (4 1 2), 40.0°, rel. 71.1

Structure:
Lattice parameters (Å, degrees): 12.098 4.047 12.242 90.00 90.00 90.00
Space group Pnma (No. 62)
One atom of each set of equivalent atoms:
Sm1 0.046 0.250 0.127 [4 per cell]
Sm2 0.151 0.750 0.555 [4 per cell]
Sm3 0.224 0.250 0.794 [4 per cell]
Te1 0.016 0.750 0.329 [4 per cell]
Au1 0.178 0.750 0.989 [4 per cell]

=====

[2]
Simulated X-ray diffraction stick pattern of Sm3Te6Au for Cu Kα, 1.54184 Å, from a structure optimized by DFT (GGA-PBE).

Most intense lines, 2θ = 10–90°, by angle:
- (2 2 1), 22.2°, rel. 80.7
- (1 3 1), 23.0°, rel. 87.2
- (3 3 1), 30.8°, rel. 73.2
- (3 1 2), 32.4°, rel. 100.0
- (3 5 0), 38.0°, rel. 53.7
- (6 0 0), 43.5°, rel. 69.4

Structure:
Lattice parameters (Å, degrees): 12.475 14.385 7.646 90.00 90.00 90.00
Space group Cmc2_1 (No. 36)
One atom of each set of equivalent atoms:
Sm1 0.000 0.094 0.000 [4 per cell]
Sm2 0.194 0.406 0.134 [8 per cell]
Te1 0.000 0.324 0.356 [4 per cell]
Te2 0.000 0.475 0.838 [4 per cell]
Te3 0.155 0.049 0.314 [8 per cell]
Te4 0.183 0.230 0.881 [8 per cell]
Au1 0.000 0.271 0.706 [4 per cell]

=====

[3]
Simulated X-ray diffraction stick pattern of Sm5Te5Au for Cu Kα, 1.54184 Å, from a structure optimized by DFT (GGA-PBE).

Most intense lines, 2θ = 10–90°, by angle:
- (0 2 0), 28.4°, rel. 90.0
- (4 0 -2), 28.6°, rel. 87.6
- (2 0 2), 28.8°, rel. 86.6
- (4 2 -2), 40.8°, rel. 67.5
- (2 2 2), 40.9°, rel. 100.0
- (2 2 -4), 50.7°, rel. 35.9

Structure:
Lattice parameters (Å, degrees): 13.959 6.278 8.783 90.00 108.66 90.00
Space group C2/m (No. 12)
One atom of each set of equivalent atoms:
Sm1 0.000 0.000 0.000 [2 per cell]
Sm2 0.161 0.500 0.328 [4 per cell]
Sm3 0.161 0.500 0.837 [4 per cell]
Te1 0.000 0.500 0.500 [2 per cell]
Te2 0.164 0.000 0.827 [4 per cell]
Te3 0.172 0.000 0.335 [4 per cell]
Au1 0.000 0.500 0.000 [2 per cell]

=====

[4]
Simulated X-ray diffraction stick pattern of Sm4TlAu3 for Cu Kα, 1.54184 Å, from a structure optimized by DFT (GGA-PBE).

Most intense lines, 2θ = 10–90°, by angle:
- (1 1 0), 34.1°, rel. 100.0
- (2 0 8), 49.0°, rel. 17.6
- (1 2 8), 61.0°, rel. 25.8
- (3 0 0), 61.0°, rel. 9.8
- (2 2 0), 71.7°, rel. 10.7
- (3 1 8), 81.9°, rel. 14.7

Structure:
Lattice parameters (Å, degrees): 5.2599 5.2599 25.8141 90.00 90.00 120.00
Space group R-3m (No. 166, hexagonal axes)
One atom of each set of equivalent atoms:
Sm1 0.0000 0.0000 0.1194 [6 per cell]
Sm2 0.0000 0.0000 0.3705 [6 per cell]
Tl1 0.0000 0.0000 0.5000 [3 per cell]
Au1 0.0000 0.0000 0.0000 [3 per cell]
Au2 0.0000 0.0000 0.2428 [6 per cell]

=====

[5]
Simulated X-ray diffraction stick pattern of Sm5Tl2Au2 for Cu Kα, 1.54184 Å, from a structure optimized by DFT (GGA-PBE).

Most intense lines, 2θ = 10–90°, by angle:
- (4 2 0), 30.2°, rel. 64.3
- (3 1 2), 30.9°, rel. 100.0
- (0 2 2), 31.5°, rel. 49.7
- (4 2 1), 32.6°, rel. 84.4
- (1 3 1), 33.5°, rel. 81.1
- (1 1 3), 38.0°, rel. 50.5

Structure:
Lattice parameters (Å, degrees): 16.083 8.726 7.469 90.00 90.00 90.00
Space group Cmce (No. 64)
One atom of each set of equivalent atoms:
Sm1 0.000 0.000 0.000 [4 per cell]
Sm2 0.129 0.182 0.346 [16 per cell]
Tl1 0.211 0.000 0.000 [8 per cell]
Au1 0.000 0.129 0.632 [8 per cell]

=====

[6]
Simulated X-ray diffraction stick pattern of Sm5TmAu6 for Cu Kα, 1.54184 Å, from a structure optimized by DFT (GGA-PBE).

Most intense lines, 2θ = 10–90°, by angle:
- (0 0 6), 34.5°, rel. 25.5
- (2 0 0), 34.7°, rel. 25.6
- (1 2 3), 34.8°, rel. 100.0
- (2 0 6), 49.7°, rel. 18.4
- (1 2 9), 62.0°, rel. 18.5
- (3 2 3), 62.2°, rel. 18.9

Structure:
Lattice parameters (Å, degrees): 5.176 7.260 15.595 90.00 90.00 90.00
Space group Immm (No. 71)
One atom of each set of equivalent atoms:
Sm1 0.000 0.000 0.000 [2 per cell]
Sm2 0.000 0.000 0.331 [4 per cell]
Sm3 0.000 0.500 0.334 [4 per cell]
Tm1 0.000 0.500 0.000 [2 per cell]
Au1 0.000 0.235 0.500 [4 per cell]
Au2 0.000 0.258 0.162 [8 per cell]

=====

[7]
Simulated X-ray diffraction stick pattern of Sm2Tm2Au3 for Cu Kα, 1.54184 Å, from a structure optimized by DFT (GGA-PBE).

Most intense lines, 2θ = 10–90°, by angle:
- (3 1 0), 31.5°, rel. 100.0
- (3 2 1), 37.5°, rel. 64.0
- (4 0 2), 45.2°, rel. 16.3
- (4 1 3), 52.0°, rel. 20.9
- (6 1 1), 64.0°, rel. 27.4
- (7 1 2), 78.3°, rel. 18.1

Structure:
Lattice parameters (Å, degrees): 8.969 8.969 8.969 90.00 90.00 90.00
Space group I2_13 (No. 199)
One atom of each set of equivalent atoms:
Sm1 0.073 0.073 0.073 [8 per cell]
Tm1 0.182 0.318 0.682 [8 per cell]
Au1 0.000 0.250 0.388 [12 per cell]

=====

[8]
Simulated X-ray diffraction stick pattern of Sm3Tm3Au4 for Cu Kα, 1.54184 Å, from a structure optimized by DFT (GGA-PBE).

Most intense lines, 2θ = 10–90°, by angle:
- (1 2 2), 32.0°, rel. 32.1
- (1 3 1), 33.7°, rel. 96.6
- (1 1 3), 34.0°, rel. 100.0
- (0 4 2), 34.4°, rel. 50.6
- (0 2 4), 34.8°, rel. 46.9
- (2 0 0), 47.4°, rel. 26.7

Structure:
Lattice parameters (Å, degrees): 3.832 11.725 11.464 90.00 90.00 90.00
Space group Amm2 (No. 38)
One atom of each set of equivalent atoms:
Sm1 0.000 0.000 0.000 [2 per cell]
Sm2 0.000 0.165 0.343 [4 per cell]
Tm1 0.000 0.000 0.672 [2 per cell]
Tm2 0.500 0.249 0.092 [4 per cell]
Au1 0.500 0.000 0.208 [2 per cell]
Au2 0.500 0.000 0.478 [2 per cell]
Au3 0.500 0.130 0.832 [4 per cell]